# 1
This entry pairs a crystal structure of Li7Mn2Co3O12 with its simulated XRD peak list. Radiation: a wavelength of 1.5418 Å. Structure: a DFT-relaxed cell (PBE+U, the Materials Project).

Crystal structure
Cell: 2.991 2.991 29.717 Å, 92.12 92.12 57.15°
Fractional coordinates of all 24 atoms:
1 Li 0.000 0.000 0.000
2 Li 0.001 0.001 0.249
3 Li 0.004 0.004 0.501
4 Li 0.337 0.337 0.834
5 Li 0.347 0.347 0.329
6 Li 0.660 0.660 0.167
7 Li 0.666 0.666 0.669
8 Mn 0.335 0.335 0.584
9 Mn 0.673 0.673 0.418
10 Co 0.003 0.003 0.751
11 Co 0.334 0.334 0.081
12 Co 0.668 0.668 0.917
13 O 0.007 0.007 0.118
14 O 0.020 0.020 0.382
15 O 0.021 0.021 0.880
16 O 0.317 0.317 0.953
17 O 0.320 0.320 0.456
18 O 0.330 0.330 0.712
19 O 0.336 0.336 0.206
20 O 0.668 0.668 0.042
21 O 0.669 0.669 0.293
22 O 0.677 0.677 0.789
23 O 0.695 0.695 0.545
24 O 0.977 0.977 0.622

Largest 10 diffraction maxima, sorted by position, 2θ from 5° to 70°:
| 2theta | d (Å) | Rel. int. |
| --- | --- | --- |
| 5.95 | 14.846 | 37.4 |
| 8.94 | 9.897 | 17.6 |
| 17.92 | 4.949 | 100.0 |
| 34.45 | 2.603 | 18.1 |
| 36.38 | 2.469 | 27.7 |
| 41.29 | 2.187 | 34.9 |
| 43.93 | 2.061 | 55.6 |
| 46.90 | 1.937 | 10.4 |
| 61.53 | 1.507 | 16.8 |
| 62.20 | 1.493 | 16.8 |

---

# 2
This entry pairs a crystal structure of Li2MnCoO4 with its simulated XRD peak list. Radiation: a wavelength of 1.5418 Å. Structure: a DFT-relaxed cell (PBE+U, the Materials Project).

Crystal structure
Cell: 5.074 5.084 6.052 Å, 94.33 102.41 99.92°
Fractional coordinates of all 16 atoms:
1 Li 0.000 0.000 0.000
2 Li 0.000 0.488 0.249
3 Li 0.003 0.491 0.761
4 Li 0.993 0.011 0.487
5 Mn 0.498 0.244 0.877
6 Mn 0.498 0.746 0.622
7 Co 0.498 0.250 0.370
8 Co 0.500 0.748 0.128
9 O 0.261 0.373 0.055
10 O 0.269 0.384 0.548
11 O 0.273 0.877 0.814
12 O 0.276 0.889 0.307
13 O 0.718 0.611 0.431
14 O 0.725 0.613 0.943
15 O 0.728 0.110 0.691
16 O 0.734 0.124 0.201

Largest 10 diffraction maxima, sorted by position, 2θ from 5° to 70°:
| 2theta | d (Å) | Rel. int. |
| --- | --- | --- |
| 18.25 | 4.861 | 100.0 |
| 33.59 | 2.668 | 20.5 |
| 36.12 | 2.487 | 12.8 |
| 36.65 | 2.452 | 16.5 |
| 37.32 | 2.409 | 9.0 |
| 40.26 | 2.240 | 33.4 |
| 43.99 | 2.058 | 24.7 |
| 44.83 | 2.022 | 23.1 |
| 60.87 | 1.522 | 8.1 |
| 65.29 | 1.429 | 9.4 |

---

# 3
This entry pairs a crystal structure of Li3MnCoO5 with its simulated XRD peak list. Radiation: a wavelength of 1.5418 Å. Structure: a DFT-relaxed cell (PBE+U, the Materials Project).

Crystal structure
Cell: 7.723 7.723 5.112 Å, 96.11 96.11 142.01°
Fractional coordinates of all 20 atoms:
1 Li 0.000 0.000 0.000
2 Li 0.209 0.791 0.000
3 Li 0.403 0.597 0.000
4 Li 0.607 0.393 0.000
5 Li 0.808 0.192 0.000
6 Li 0.904 0.096 0.500
7 Mn 0.104 0.896 0.500
8 Mn 0.503 0.497 0.500
9 Co 0.309 0.691 0.500
10 Co 0.713 0.287 0.500
11 O 0.053 0.453 0.733
12 O 0.188 0.366 0.266
13 O 0.264 0.238 0.721
14 O 0.352 0.149 0.280
15 O 0.438 0.035 0.729
16 O 0.547 0.947 0.267
17 O 0.634 0.812 0.734
18 O 0.762 0.736 0.279
19 O 0.851 0.648 0.720
20 O 0.965 0.562 0.271

Largest 10 diffraction maxima, sorted by position, 2θ from 5° to 70°:
| 2theta | d (Å) | Rel. int. |
| --- | --- | --- |
| 12.12 | 7.303 | 11.3 |
| 18.36 | 4.831 | 100.0 |
| 19.65 | 4.518 | 10.2 |
| 36.10 | 2.488 | 25.6 |
| 36.28 | 2.476 | 13.9 |
| 43.68 | 2.072 | 59.1 |
| 43.86 | 2.064 | 29.4 |
| 57.55 | 1.602 | 9.4 |
| 63.17 | 1.472 | 16.0 |
| 64.06 | 1.453 | 15.5 |

---

# 4
This entry pairs a crystal structure of Li7Mn4CoO12 with its simulated XRD peak list. Radiation: a wavelength of 1.5418 Å. Structure: a DFT-relaxed cell (PBE+U, the Materials Project).

Crystal structure
Cell: 8.687 2.866 9.727 Å, 90.00 115.76 90.00°
Fractional coordinates of all 24 atoms:
1 Li 0.000 0.000 0.000
2 Li 0.003 0.500 0.498
3 Li 0.338 0.000 0.675
4 Li 0.365 0.500 0.164
5 Li 0.508 0.000 0.999
6 Li 0.642 0.500 0.840
7 Li 0.676 0.000 0.328
8 Mn 0.157 0.000 0.326
9 Mn 0.193 0.500 0.840
10 Mn 0.503 0.500 0.499
11 Mn 0.847 0.000 0.672
12 Co 0.818 0.500 0.162
13 O 0.066 0.500 0.173
14 O 0.107 0.000 0.687
15 O 0.235 0.500 0.477
16 O 0.250 0.000 0.988
17 O 0.401 0.500 0.833
18 O 0.431 0.000 0.344
19 O 0.576 0.000 0.654
20 O 0.613 0.500 0.166
21 O 0.761 0.000 0.017
22 O 0.772 0.500 0.521
23 O 0.900 0.000 0.309
24 O 0.940 0.500 0.825

Largest 10 diffraction maxima, sorted by position, 2θ from 5° to 70°:
| 2theta | d (Å) | Rel. int. |
| --- | --- | --- |
| 11.31 | 7.824 | 9.3 |
| 18.42 | 4.817 | 100.0 |
| 34.39 | 2.608 | 15.7 |
| 36.36 | 2.471 | 23.0 |
| 41.59 | 2.172 | 31.3 |
| 44.28 | 2.045 | 55.4 |
| 47.41 | 1.918 | 8.6 |
| 58.40 | 1.580 | 9.4 |
| 62.04 | 1.496 | 14.9 |
| 62.69 | 1.482 | 16.1 |

---

# 5
This entry pairs a crystal structure of Li3Mn2Co2O8 with its simulated XRD peak list. Radiation: a wavelength of 1.5418 Å. Structure: a DFT-relaxed cell (PBE+U, the Materials Project).

Crystal structure
Cell: 2.914 4.991 10.061 Å, 91.13 91.31 90.71°
Fractional coordinates of all 15 atoms:
1 Li 0.000 0.000 0.000
2 Li 0.225 0.588 0.505
3 Li 0.490 0.500 0.003
4 Mn 0.221 0.928 0.276
5 Mn 0.495 0.161 0.766
6 Co 0.720 0.426 0.268
7 Co 0.985 0.665 0.779
8 O 0.012 0.977 0.673
9 O 0.209 0.595 0.170
10 O 0.226 0.272 0.368
11 O 0.472 0.511 0.678
12 O 0.498 0.827 0.886
13 O 0.702 0.091 0.166
14 O 0.734 0.749 0.377
15 O 0.966 0.336 0.886

Largest 10 diffraction maxima, sorted by position, 2θ from 5° to 70°:
| 2theta | d (Å) | Rel. int. |
| --- | --- | --- |
| 17.64 | 5.028 | 100.0 |
| 36.76 | 2.445 | 8.2 |
| 37.30 | 2.411 | 14.2 |
| 39.73 | 2.269 | 10.7 |
| 40.05 | 2.251 | 11.1 |
| 44.54 | 2.034 | 8.5 |
| 44.85 | 2.021 | 8.6 |
| 45.77 | 1.983 | 7.8 |
| 45.91 | 1.977 | 8.2 |
| 64.92 | 1.436 | 12.2 |

---

# 6
This entry pairs a crystal structure of Li7Mn2Co3O12 with its simulated XRD peak list. Radiation: a wavelength of 1.5418 Å. Structure: a DFT-relaxed cell (PBE+U, the Materials Project).

Crystal structure
Cell: 2.977 6.440 11.948 Å, 102.91 93.68 103.35°
Fractional coordinates of all 24 atoms:
1 Li 0.000 0.000 0.000
2 Li 0.006 0.004 0.746
3 Li 0.020 0.006 0.238
4 Li 0.345 0.676 0.581
5 Li 0.355 0.689 0.078
6 Li 0.674 0.336 0.418
7 Li 0.686 0.337 0.910
8 Mn 0.358 0.680 0.329
9 Mn 0.680 0.330 0.156
10 Co 0.016 0.011 0.499
11 Co 0.346 0.686 0.835
12 Co 0.682 0.344 0.664
13 O 0.155 0.340 0.053
14 O 0.164 0.364 0.784
15 O 0.200 0.328 0.542
16 O 0.213 0.352 0.274
17 O 0.496 0.027 0.618
18 O 0.500 0.973 0.862
19 O 0.517 0.029 0.125
20 O 0.542 0.002 0.380
21 O 0.811 0.669 0.942
22 O 0.831 0.689 0.454
23 O 0.863 0.656 0.709
24 O 0.876 0.661 0.207

Largest 10 diffraction maxima, sorted by position, 2θ from 5° to 70°:
| 2theta | d (Å) | Rel. int. |
| --- | --- | --- |
| 7.65 | 11.559 | 21.5 |
| 18.41 | 4.819 | 100.0 |
| 34.55 | 2.596 | 18.1 |
| 36.61 | 2.455 | 24.0 |
| 37.29 | 2.411 | 8.0 |
| 41.51 | 2.175 | 34.3 |
| 44.42 | 2.040 | 27.1 |
| 44.76 | 2.025 | 26.0 |
| 62.30 | 1.490 | 8.2 |
| 62.50 | 1.486 | 16.0 |

---

# 7
This entry pairs a crystal structure of Li6Mn3CoO10 with its simulated XRD peak list. Radiation: a wavelength of 1.5418 Å. Structure: a DFT-relaxed cell (PBE+U, the Materials Project).

Crystal structure
Cell: 5.022 5.081 7.678 Å, 83.23 72.89 72.11°
Fractional coordinates of all 20 atoms:
1 Li 0.000 0.000 0.000
2 Li 0.092 0.496 0.809
3 Li 0.319 0.489 0.391
4 Li 0.502 0.499 0.996
5 Li 0.686 0.506 0.610
6 Li 0.908 0.500 0.195
7 Mn 0.195 0.005 0.606
8 Mn 0.411 0.988 0.195
9 Mn 0.592 0.013 0.805
10 Co 0.816 0.988 0.388
11 O 0.079 0.206 0.388
12 O 0.167 0.759 0.207
13 O 0.281 0.221 0.999
14 O 0.353 0.779 0.788
15 O 0.442 0.235 0.611
16 O 0.573 0.764 0.381
17 O 0.648 0.220 0.215
18 O 0.718 0.778 0.001
19 O 0.826 0.243 0.801
20 O 0.920 0.790 0.611

Largest 10 diffraction maxima, sorted by position, 2θ from 5° to 70°:
| 2theta | d (Å) | Rel. int. |
| --- | --- | --- |
| 12.07 | 7.335 | 10.0 |
| 18.36 | 4.833 | 100.0 |
| 35.23 | 2.548 | 14.4 |
| 36.48 | 2.463 | 11.6 |
| 36.61 | 2.454 | 12.1 |
| 42.33 | 2.135 | 31.7 |
| 44.36 | 2.042 | 28.4 |
| 44.37 | 2.042 | 28.6 |
| 62.55 | 1.485 | 8.5 |
| 63.96 | 1.456 | 8.0 |

---

# 8
This entry pairs a crystal structure of Li7Mn2Co3O12 with its simulated XRD peak list. Radiation: a wavelength of 1.5418 Å. Structure: a DFT-relaxed cell (PBE+U, the Materials Project).

Crystal structure
Cell: 5.803 8.818 9.781 Å, 65.53 88.38 71.34°
Fractional coordinates of all 48 atoms:
1 Li 0.000 0.000 0.000
2 Li 0.071 0.358 0.836
3 Li 0.179 0.663 0.674
4 Li 0.249 0.002 0.500
5 Li 0.250 0.500 0.000
6 Li 0.320 0.337 0.325
7 Li 0.428 0.640 0.167
8 Li 0.500 0.000 0.000
9 Li 0.572 0.360 0.833
10 Li 0.680 0.663 0.675
11 Li 0.750 0.500 0.000
12 Li 0.751 0.998 0.500
13 Li 0.821 0.337 0.326
14 Li 0.929 0.642 0.164
15 Mn 0.154 0.180 0.163
16 Mn 0.346 0.820 0.837
17 Mn 0.654 0.180 0.163
18 Mn 0.846 0.820 0.837
19 Co 0.000 0.500 0.500
20 Co 0.076 0.833 0.329
21 Co 0.423 0.168 0.670
22 Co 0.500 0.500 0.500
23 Co 0.577 0.832 0.330
24 Co 0.924 0.167 0.671
25 O 0.048 0.395 0.170
26 O 0.057 0.911 0.684
27 O 0.119 0.759 0.982
28 O 0.126 0.243 0.516
29 O 0.198 0.581 0.342
30 O 0.229 0.071 0.826
31 O 0.271 0.929 0.174
32 O 0.303 0.419 0.656
33 O 0.378 0.747 0.484
34 O 0.380 0.241 0.018
35 O 0.442 0.089 0.316
36 O 0.451 0.605 0.830
37 O 0.549 0.395 0.170
38 O 0.558 0.911 0.684
39 O 0.620 0.759 0.982
40 O 0.622 0.253 0.516
41 O 0.697 0.581 0.344
42 O 0.729 0.071 0.826
43 O 0.771 0.929 0.174
44 O 0.802 0.419 0.658
45 O 0.874 0.757 0.484
46 O 0.881 0.241 0.018
47 O 0.943 0.089 0.316
48 O 0.952 0.605 0.830

Largest 10 diffraction maxima, sorted by position, 2θ from 5° to 70°:
| 2theta | d (Å) | Rel. int. |
| --- | --- | --- |
| 10.01 | 8.838 | 12.6 |
| 11.72 | 7.554 | 14.8 |
| 18.42 | 4.816 | 100.0 |
| 35.63 | 2.520 | 26.4 |
| 36.74 | 2.446 | 11.6 |
| 42.98 | 2.105 | 28.6 |
| 43.32 | 2.089 | 27.5 |
| 44.63 | 2.030 | 26.4 |
| 62.44 | 1.487 | 7.6 |
| 64.23 | 1.450 | 14.4 |

---

# 9
This entry pairs a crystal structure of Li4MnCo2O7 with its simulated XRD peak list. Radiation: a wavelength of 1.5418 Å. Structure: a DFT-relaxed cell (PBE+U, the Materials Project).

Crystal structure
Cell: 5.102 7.671 7.706 Å, 61.17 72.09 77.87°
Fractional coordinates of all 28 atoms:
1 Li 0.000 0.000 0.000
2 Li 0.000 0.436 0.707
3 Li 0.003 0.286 0.146
4 Li 0.005 0.848 0.439
5 Li 0.006 0.147 0.567
6 Li 0.007 0.711 0.857
7 Li 0.506 0.642 0.571
8 Li 0.999 0.569 0.293
9 Mn 0.496 0.785 0.149
10 Mn 0.500 0.067 0.291
11 Co 0.498 0.502 0.992
12 Co 0.501 0.217 0.857
13 Co 0.508 0.919 0.711
14 Co 0.511 0.363 0.438
15 O 0.271 0.753 0.000
16 O 0.272 0.020 0.158
17 O 0.272 0.614 0.406
18 O 0.272 0.911 0.555
19 O 0.273 0.448 0.869
20 O 0.281 0.175 0.719
21 O 0.285 0.310 0.286
22 O 0.712 0.967 0.876
23 O 0.720 0.240 0.013
24 O 0.722 0.834 0.277
25 O 0.726 0.550 0.141
26 O 0.733 0.104 0.422
27 O 0.740 0.687 0.725
28 O 0.746 0.385 0.566

Largest 10 diffraction maxima, sorted by position, 2θ from 5° to 70°:
| 2theta | d (Å) | Rel. int. |
| --- | --- | --- |
| 18.33 | 4.841 | 100.0 |
| 35.50 | 2.529 | 15.0 |
| 36.20 | 2.482 | 13.1 |
| 36.38 | 2.469 | 12.3 |
| 42.88 | 2.109 | 29.7 |
| 43.78 | 2.068 | 27.4 |
| 44.12 | 2.053 | 26.5 |
| 47.72 | 1.906 | 8.4 |
| 63.02 | 1.475 | 7.9 |
| 63.15 | 1.472 | 7.6 |

---

# 10
This entry pairs a crystal structure of Li7Mn2Co3O12 with its simulated XRD peak list. Radiation: a wavelength of 1.5418 Å. Structure: a DFT-relaxed cell (PBE+U, the Materials Project).

Crystal structure
Cell: 2.975 7.610 9.760 Å, 91.74 97.26 99.64°
Fractional coordinates of all 24 atoms:
1 Li 0.000 0.000 0.000
2 Li 0.075 0.417 0.741
3 Li 0.166 0.835 0.498
4 Li 0.338 0.674 0.996
5 Li 0.515 0.497 0.512
6 Li 0.680 0.341 0.996
7 Li 0.859 0.183 0.506
8 Mn 0.433 0.094 0.750
9 Mn 0.925 0.588 0.250
10 Co 0.251 0.252 0.251
11 Co 0.597 0.924 0.249
12 Co 0.754 0.741 0.755
13 O 0.029 0.195 0.860
14 O 0.116 0.647 0.636
15 O 0.211 0.050 0.365
16 O 0.259 0.453 0.130
17 O 0.411 0.879 0.862
18 O 0.459 0.278 0.632
19 O 0.585 0.722 0.368
20 O 0.634 0.124 0.133
21 O 0.725 0.567 0.866
22 O 0.825 0.966 0.647
23 O 0.866 0.382 0.365
24 O 0.984 0.794 0.135

Largest 10 diffraction maxima, sorted by position, 2θ from 5° to 70°:
| 2theta | d (Å) | Rel. int. |
| --- | --- | --- |
| 9.15 | 9.669 | 14.5 |
| 11.81 | 7.492 | 10.0 |
| 18.35 | 4.834 | 100.0 |
| 34.99 | 2.565 | 17.4 |
| 36.16 | 2.484 | 13.1 |
| 36.69 | 2.449 | 11.3 |
| 42.06 | 2.148 | 33.2 |
| 43.84 | 2.065 | 28.9 |
| 44.72 | 2.026 | 26.6 |
| 62.25 | 1.491 | 8.5 |